Record 1
Simulated PXRD pattern of Si2As4Au for copper Kα, from a cell relaxed with PBE.
Peak positions follow from Bragg's law for the DFT cell and can differ from measured ones.

Unit cell a=5.0808 b=5.0808 c=12.1032 alpha=90.00 beta=90.00 gamma=90.00
Space group I-42m (No. 121)
One atom of each set of equivalent atoms:
Si1 0.0000 0.5000 0.2500 x4
As1 0.1928 0.1928 0.1242 x8
Au1 0.0000 0.0000 0.5000 x2

Largest 12 diffraction maxima, in order of rising 2θ, 2θ = 10–80°:
- 14.64 deg, I 16, hkl 0 0 2
- 18.94 deg, I 27, hkl 1 0 1
- 24.78 deg, I 16, hkl 1 1 0
- 28.25 deg, I 57, hkl 1 0 3
- 28.90 deg, I 100, hkl 1 1 2
- 40.39 deg, I 49, hkl 2 1 1
- 41.31 deg, I 21, hkl 1 0 5
- 45.83 deg, I 16, hkl 2 1 3
- 46.69 deg, I 46, hkl 2 0 4
- 51.99 deg, I 19, hkl 1 1 6
- 54.73 deg, I 18, hkl 3 0 1
- 59.53 deg, I 15, hkl 3 1 2



Record 2
Simulated PXRD pattern of SnAsAu14 for copper Kα, from a cell relaxed with PBE.
Peak positions follow from Bragg's law for the DFT cell and can differ from measured ones.

Unit cell a=9.5365 b=6.0777 c=10.2273 alpha=90.00 beta=90.00 gamma=90.00
Space group Amm2 (No. 38)
One atom of each set of equivalent atoms:
Sn1 0.0000 0.0000 0.0000 x2
As1 0.0000 0.0000 0.5041 x2
Au1 0.0000 0.2494 0.2504 x4
Au2 0.2494 0.0000 0.3305 x4
Au3 0.2518 0.0000 0.8291 x4
Au4 0.2526 0.2485 0.5798 x8
Au5 0.5000 0.0000 0.1587 x2
Au6 0.5000 0.0000 0.6588 x2
Au7 0.5000 0.2486 0.4084 x4

Largest 12 diffraction maxima, in order of rising 2θ, 2θ = 10–80°:
- 35.63 deg, I 32, hkl 1 2 2
- 36.38 deg, I 18, hkl 1 0 4
- 37.73 deg, I 45, hkl 4 0 0
- 39.33 deg, I 100, hkl 2 2 2
- 40.01 deg, I 40, hkl 2 0 4
- 44.91 deg, I 17, hkl 3 2 2
- 60.98 deg, I 11, hkl 0 4 0
- 62.47 deg, I 21, hkl 0 2 6
- 69.19 deg, I 19, hkl 6 2 2
- 73.98 deg, I 13, hkl 4 4 0
- 75.34 deg, I 24, hkl 4 2 6
- 75.46 deg, I 13, hkl 2 4 4



Record 3
Simulated PXRD pattern of Sn2As3Au for copper Kα, from a cell relaxed with PBE.
Peak positions follow from Bragg's law for the DFT cell and can differ from measured ones.

Unit cell a=7.4636 b=13.0310 c=7.4911 alpha=90.00 beta=109.53 gamma=90.00
Space group Cc (No. 9)
One atom of each set of equivalent atoms:
Sn1 0.0000 0.0806 0.0000 x4
Sn2 0.0175 0.2514 0.4999 x4
As1 0.1227 0.4251 0.3744 x4
As2 0.1323 0.2532 0.8849 x4
As3 0.1577 0.0824 0.3837 x4
Au1 0.0282 0.4146 0.0177 x4

Largest 12 diffraction maxima, in order of rising 2θ, 2θ = 10–80°:
- 25.16 deg, I 100, hkl 1 3 -1
- 25.28 deg, I 99, hkl 2 0 0
- 29.20 deg, I 18, hkl 2 0 -2
- 41.58 deg, I 24, hkl 0 6 0
- 41.72 deg, I 48, hkl 1 3 -3
- 41.86 deg, I 69, hkl 3 3 -1
- 49.29 deg, I 33, hkl 2 6 0
- 49.44 deg, I 41, hkl 3 3 -3
- 49.55 deg, I 21, hkl 4 0 -2
- 60.49 deg, I 15, hkl 2 6 2
- 76.01 deg, I 16, hkl 1 9 -3
- 76.26 deg, I 20, hkl 2 0 -6



Record 4
Simulated PXRD pattern of Sn4As3Au for copper Kα, from a cell relaxed with PBE.
Peak positions follow from Bragg's law for the DFT cell and can differ from measured ones.

Unit cell a=4.1570 b=4.1570 c=50.7274 alpha=90.00 beta=90.00 gamma=120.00
Space group R3m (No. 160, hexagonal axes)
One atom of each set of equivalent atoms:
Sn1 0.0000 0.0000 0.0000 x3
Sn2 0.0000 0.0000 0.2365 x3
Sn3 0.0000 0.0000 0.4911 x3
Sn4 0.0000 0.0000 0.7458 x3
As1 0.0000 0.0000 0.0538 x3
As2 0.0000 0.0000 0.3094 x3
As3 0.0000 0.0000 0.5438 x3
Au1 0.0000 0.0000 0.7993 x3

Largest 12 diffraction maxima, in order of rising 2θ, 2θ = 10–80°:
- 21.02 deg, I 27, hkl 0 0 12
- 25.72 deg, I 100, hkl 1 0 4
- 37.81 deg, I 48, hkl 1 0 16
- 42.14 deg, I 12, hkl 1 0 19
- 43.54 deg, I 45, hkl 1 1 0
- 43.65 deg, I 24, hkl 0 1 20
- 48.40 deg, I 12, hkl 0 1 23
- 48.83 deg, I 18, hkl 1 1 12
- 51.26 deg, I 16, hkl 0 2 4
- 59.01 deg, I 13, hkl 0 2 16
- 69.47 deg, I 13, hkl 2 1 4
- 76.13 deg, I 13, hkl 2 1 16